Entry 1:
The following is a calculated X-ray powder pattern of Cs2Sn3F8. It was derived from a cell relaxed with GGA-PBE, using λ = 1.5418 Å (Cu Kα).
Kinematic intensities with the Lorentz-polarization factor, no thermal factor.

Peak list (12 most intense, 2θ from 5° to 70°, in order of rising 2θ)
two_theta  I (rel.)
13.5  33.3
21.5  65.0
23.5  100.0
27.2  66.1
27.4  32.3
27.7  37.3
28.5  38.7
35.2  30.7
41.3  26.3
42.8  38.2
45.6  26.4
48.1  32.2

Atomic structure:
abc: 7.9711 7.9711 6.5507
angles: 108.07 108.07 56.76
Sites, in units of the cell vectors:
Cs  0.2183  0.2183  0.1720
Cs  0.7817  0.7817  0.8280
Sn  0.2436  0.7564  0.5000
Sn  0.5000  0.5000  0.0000
Sn  0.7564  0.2436  0.5000
F  0.0930  0.0930  0.4628
F  0.1847  0.6215  0.1205
F  0.3785  0.8153  0.8795
F  0.3989  0.3989  0.6108
F  0.6011  0.6011  0.3892
F  0.6215  0.1847  0.1205
F  0.8153  0.3785  0.8795
F  0.9070  0.9070  0.5372


Entry 2:
The following is a calculated X-ray powder pattern of Cs3SnF8. It was derived from a cell relaxed with GGA-PBE, using λ = 1.5418 Å (Cu Kα).
Kinematic intensities with the Lorentz-polarization factor, no thermal factor.

Peak list (12 most intense, 2θ from 5° to 70°, in order of rising 2θ)
two_theta  I (rel.)
24.7  47.9
25.4  100.0
35.2  28.7
37.2  11.5
43.9  52.7
45.2  21.8
52.1  16.8
57.1  10.8
57.4  12.6
60.3  11.1
64.5  8.2
69.2  16.0

Atomic structure:
abc: 7.0273 7.0273 7.0273
angles: 118.21 118.21 93.12
Sites, in units of the cell vectors:
Cs  0.0000  0.0000  0.0000
Cs  0.2500  0.7500  0.5000
Cs  0.7500  0.2500  0.5000
Sn  0.5000  0.5000  0.0000
F  0.1945  0.4226  0.0000
F  0.2536  0.2536  0.6056
F  0.3520  0.7464  0.0000
F  0.4226  0.1945  0.0000
F  0.5774  0.5774  0.7719
F  0.6480  0.6480  0.3944
F  0.7464  0.3520  0.0000
F  0.8055  0.8055  0.2281


Entry 3:
The following is a calculated X-ray powder pattern of CsTiSnF6. It was derived from a cell relaxed with GGA-PBE, using λ = 1.5418 Å (Cu Kα).
Kinematic intensities with the Lorentz-polarization factor, no thermal factor.

Peak list (12 most intense, 2θ from 5° to 70°, in order of rising 2θ)
two_theta  I (rel.)
22.5  21.5
22.7  37.2
26.0  100.0
26.4  48.4
27.0  34.3
27.1  24.8
27.5  23.6
27.9  33.8
35.4  20.4
41.7  52.9
45.9  21.0
46.4  49.2

Atomic structure:
abc: 7.8424 7.8424 7.8424
angles: 119.44 117.69 92.50
Sites, in units of the cell vectors:
Cs  0.3520  0.1020  0.2500
Cs  0.6480  0.8980  0.7500
Ti  0.0000  0.0000  0.5000
Ti  0.0000  0.5000  0.0000
Sn  0.0000  0.5000  0.5000
Sn  0.5000  0.5000  0.0000
F  0.0132  0.2632  0.7500
F  0.0419  0.3645  0.1655
F  0.0419  0.8764  0.6775
F  0.3010  0.1236  0.6655
F  0.3010  0.6355  0.1775
F  0.3598  0.6098  0.7500
F  0.6402  0.3902  0.2500
F  0.6990  0.3645  0.8225
F  0.6990  0.8764  0.3345
F  0.9581  0.1236  0.3225
F  0.9581  0.6355  0.8345
F  0.9868  0.7368  0.2500


Entry 4:
The following is a calculated X-ray powder pattern of Cs3Zn2SnF9. It was derived from a cell relaxed with GGA-PBE, using λ = 1.5418 Å (Cu Kα).
Kinematic intensities with the Lorentz-polarization factor, no thermal factor.

Peak list (12 most intense, 2θ from 5° to 70°, in order of rising 2θ)
two_theta  I (rel.)
20.0  4.4
28.3  100.0
28.4  98.6
34.8  4.8
35.0  15.4
40.6  71.7
50.1  20.2
50.3  60.3
58.6  21.8
58.9  22.4
66.4  18.4
66.6  18.5

Atomic structure:
abc: 6.2750 6.2750 7.7310
angles: 90.00 90.00 120.00
Sites, in units of the cell vectors:
Cs  0.0000  0.0000  0.0000
Cs  0.3333  0.6667  0.6729
Cs  0.6667  0.3333  0.3271
Zn  0.3333  0.6667  0.1535
Zn  0.6667  0.3333  0.8465
Sn  0.0000  0.0000  0.5000
F  0.0000  0.5000  0.0000
F  0.1786  0.3572  0.3142
F  0.1786  0.8214  0.3142
F  0.3572  0.1786  0.6858
F  0.5000  0.0000  0.0000
F  0.5000  0.5000  0.0000
F  0.6428  0.8214  0.3142
F  0.8214  0.1786  0.6858
F  0.8214  0.6428  0.6858


Entry 5:
The following is a calculated X-ray powder pattern of Cs2ZrSnF6. It was derived from a cell relaxed with GGA-PBE, using λ = 1.5418 Å (Cu Kα).
Kinematic intensities with the Lorentz-polarization factor, no thermal factor.

Peak list (12 most intense, 2θ from 5° to 70°, in order of rising 2θ)
two_theta  I (rel.)
24.1  100.0
27.6  32.8
28.6  22.1
39.4  22.2
40.2  17.9
46.7  32.6
48.1  19.4
49.4  18.2
56.9  7.0
62.7  7.5
63.9  15.9
65.0  7.7

Atomic structure:
abc: 7.7308 7.7308 7.7308
angles: 130.53 130.53 72.55
Sites, in units of the cell vectors:
Cs  0.2500  0.7500  0.5000
Cs  0.7500  0.2500  0.5000
Zr  0.0000  0.0000  0.0000
Sn  0.5000  0.5000  0.0000
F  0.1641  0.1641  0.0000
F  0.2234  0.2234  0.4468
F  0.2234  0.7766  0.0000
F  0.7766  0.2234  0.0000
F  0.7766  0.7766  0.5532
F  0.8359  0.8359  0.0000


Entry 6:
The following is a calculated X-ray powder pattern of Cs2SrTlF6. It was derived from a cell relaxed with GGA-PBE, using λ = 1.5418 Å (Cu Kα).
Kinematic intensities with the Lorentz-polarization factor, no thermal factor.

Peak list (12 most intense, 2θ from 5° to 70°, in order of rising 2θ)
two_theta  I (rel.)
15.9  9.6
18.4  2.1
26.1  100.0
30.8  6.3
37.3  33.8
40.8  3.0
46.1  43.6
49.1  2.4
53.8  22.5
56.5  2.4
60.8  19.6
67.3  7.5

Atomic structure:
abc: 6.8110 9.6397 6.8226
angles: 90.00 90.00 90.00
Sites, in units of the cell vectors:
Cs  0.2500  0.0001  0.2499
Cs  0.2500  0.4999  0.2499
Cs  0.7500  0.9999  0.7501
Cs  0.7500  0.5001  0.7501
Sr  0.2500  0.2500  0.7494
Sr  0.7500  0.7500  0.2506
Tl  0.2500  0.7500  0.7505
Tl  0.7500  0.2500  0.2495
F  0.0004  0.2500  0.9984
F  0.9996  0.7500  0.0016
F  0.0009  0.2500  0.4999
F  0.2500  0.0007  0.7500
F  0.2500  0.4993  0.7500
F  0.4991  0.2500  0.4999
F  0.4996  0.2500  0.9984
F  0.5004  0.7500  0.0016
F  0.5009  0.7500  0.5001
F  0.7500  0.5007  0.2500
F  0.7500  0.9993  0.2500
F  0.9991  0.7500  0.5001